Starting from a structure optimized by DFT (GGA-PBE), the X-ray powder pattern of CaTiSe2 was simulated for Cu Kα (weighted mean of Kα1 and Kα2).

Main lines, by angle (2θ = 10–90°):
- 2θ = 24.8°, rel. 100.0
- 2θ = 41.0°, rel. 44.9
- 2θ = 41.2°, rel. 20.0
- 2θ = 48.4°, rel. 15.4
- 2θ = 48.7°, rel. 24.0
- 2θ = 65.4°, rel. 9.6
- 2θ = 74.6°, rel. 6.4
- 2θ = 75.0°, rel. 9.3

Cell and atoms:
```
CaTiSe2
1.0
-3.096 3.096 6.253
3.096 -3.096 6.253
3.096 3.096 -6.253
Ca Ti Se
2 2 4
direct
0.000 0.000 0.000
0.750 0.250 0.500
0.250 0.750 0.500
0.500 0.500 0.000
0.168 0.625 0.043
0.375 0.418 0.543
0.582 0.125 0.957
0.875 0.832 0.457
```